This entry pairs a crystal structure of Li2Ni3O6 with its calculated powder diffraction line list. Radiation: Cu Ka. Structure: a GGA+U-relaxed structure.
No peak broadening, texture or thermal motion is included.

The 8 most intense peaks (2θ from 10° to 80°), low angle first:
(2 0 0), 17.69°, 5.012 Å, I 100
(0 2 0), 36.11°, 2.488 Å, I 8
(1 1 3), 37.42°, 2.403 Å, I 31
(2 2 0), 40.48°, 2.228 Å, I 16
(3 1 3), 45.61°, 1.989 Å, I 31
(4 2 0), 51.78°, 1.766 Å, I 13
(5 1 3), 59.31°, 1.558 Å, I 17
(1 3 3), 65.79°, 1.419 Å, I 14

Structural model:
Lattice parameters (Å, degrees): 10.0248 4.9753 8.5618 90.00 90.00 90.00
Space group Aea2 (No. 41)
Inequivalent atoms, fractional coordinates:
Li1 0.2474 0.0959 0.0000 (multiplicity 8)
Ni1 0.0000 0.0000 0.0930 (multiplicity 4)
Ni2 0.0000 0.0000 0.4228 (multiplicity 4)
Ni3 0.0000 0.0000 0.7540 (multiplicity 4)
O1 0.0952 0.3291 0.7584 (multiplicity 8)
O2 0.1009 0.3244 0.4308 (multiplicity 8)
O3 0.1092 0.3520 0.0762 (multiplicity 8)